NaNb2Pt: computed powder diffractogram (λ = 1.5418 Å (Cu Kα)), based on a DFT-relaxed cell (PBE, Alexandria).

Structural model:
Lattice parameters (Å, degrees): 7.738 7.738 5.441 90.00 90.00 90.00
Space group I-42d (No. 122)
Asymmetric unit:
Na 0.000 0.000 0.000 [4 per cell]
Nb 0.203 0.750 0.625 [8 per cell]
Pt 0.000 0.000 0.500 [4 per cell]

Most intense lines, 10° ≤ 2θ ≤ 90°, in order of rising 2θ:
d 4.451, I 100, hkl 1 0 1; d 2.920, I 36, hkl 2 1 1; d 2.736, I 98, hkl 2 2 0; d 2.436, I 81, hkl 1 1 2; d 1.997, I 44, hkl 3 2 1; d 1.935, I 31, hkl 4 0 0; d 1.819, I 58, hkl 3 1 2; d 1.774, I 23, hkl 4 1 1